Calculated PXRD pattern of CaCrSnF6 for CuKα, from a cell relaxed with GGA+U.
No peak broadening, texture or thermal motion is included.

```
data_CaCrSnF6
_chemical_formula_sum 'Ca2 Cr2 Sn2 F12'
_symmetry_space_group_name_H-M 'P 1'
_symmetry_Int_Tables_number 1
_cell_length_a 5.810
_cell_length_b 5.810
_cell_length_c 10.030
_cell_angle_alpha 90.00
_cell_angle_beta 90.00
_cell_angle_gamma 120.00
loop_
_symmetry_equiv_pos_as_xyz
'x,y,z'
loop_
_atom_site_label
_atom_site_fract_x
_atom_site_fract_y
_atom_site_fract_z
Ca1 0.333 0.667 0.250
Ca2 0.667 0.333 0.750
Cr1 0.333 0.667 0.750
Cr2 0.667 0.333 0.250
Sn1 0.000 0.000 0.000
Sn2 0.000 0.000 0.500
F1 0.020 0.358 0.637
F2 0.020 0.662 0.863
F3 0.338 0.358 0.863
F4 0.338 0.980 0.637
F5 0.358 0.020 0.137
F6 0.358 0.338 0.363
F7 0.642 0.662 0.637
F8 0.642 0.980 0.863
F9 0.662 0.020 0.363
F10 0.662 0.642 0.137
F11 0.980 0.338 0.137
F12 0.980 0.642 0.363
```

Peak list (10 most intense, 10 to 90 degrees two-theta, by angle)
hkl 1 0 0, 17.6°, 5.032 Å, rel. 16
hkl 1 0 2, 25.1°, 3.552 Å, rel. 100
hkl 1 1 0, 30.8°, 2.905 Å, rel. 26
hkl 2 -1 2, 35.7°, 2.514 Å, rel. 20
hkl 2 0 2, 40.1°, 2.248 Å, rel. 34
hkl 1 1 4, 47.9°, 1.898 Å, rel. 46
hkl 2 1 2, 51.4°, 1.778 Å, rel. 30
hkl 3 0 0, 54.7°, 1.677 Å, rel. 19
hkl 4 -1 2, 70.0°, 1.344 Å, rel. 11
hkl 4 -2 4, 75.7°, 1.257 Å, rel. 10